No. 1
YMn3F15: calculated powder diffractogram (Cu Kα), based on a crystal structure in the Materials Project, relaxed with GGA+U.

Crystal structure
```
YMn3F15
1.0
6.0842 0.0000 0.0000
0.0000 11.6047 0.0000
-2.3146 0.0000 8.8707
Y Mn F
2 6 30
direct
0.0272 0.2500 0.2442
0.9728 0.7500 0.7558
0.4863 0.5015 0.6656
0.4863 0.9985 0.6656
0.5000 0.0000 0.0000
0.5000 0.5000 0.0000
0.5137 0.0015 0.3344
0.5137 0.4985 0.3344
0.1443 0.7500 0.2706
0.1541 0.7500 0.9740
0.1625 0.7500 0.6023
0.2410 0.0840 0.6215
0.2410 0.4160 0.6215
0.2508 0.0871 0.9667
0.2508 0.4129 0.9667
0.2557 0.1007 0.2884
0.2557 0.3993 0.2884
0.3667 0.5887 0.8226
0.3667 0.9113 0.8226
0.3837 0.5846 0.4762
0.3837 0.9154 0.4762
0.3930 0.5833 0.1463
0.3930 0.9167 0.1463
0.6070 0.0833 0.8537
0.6070 0.4167 0.8537
0.6163 0.0846 0.5238
0.6163 0.4154 0.5238
0.6333 0.0887 0.1774
0.6333 0.4113 0.1774
0.7443 0.6007 0.7116
0.7443 0.8993 0.7116
0.7492 0.5871 0.0333
0.7492 0.9129 0.0333
0.7590 0.5840 0.3785
0.7590 0.9160 0.3785
0.8375 0.2500 0.3977
0.8459 0.2500 0.0260
0.8557 0.2500 0.7294
```

Most intense lines, 2θ from 10° to 90°, low angle first:
2θ = 12.56°, 7.048 Å, intensity 24; 2θ = 15.05°, 5.887 Å, intensity 18; 2θ = 15.27°, 5.802 Å, intensity 16; 2θ = 17.59°, 5.043 Å, intensity 10; 2θ = 21.50°, 4.132 Å, intensity 100; 2θ = 30.21°, 2.958 Å, intensity 11; 2θ = 31.21°, 2.866 Å, intensity 7; 2θ = 43.70°, 2.071 Å, intensity 12; 2θ = 43.82°, 2.066 Å, intensity 12; 2θ = 44.27°, 2.046 Å, intensity 15

---

No. 2
Sr2CaWO6: calculated powder diffractogram (Cu Kα), based on a crystal structure in the Materials Project, relaxed with GGA+U.

Crystal structure
```
Sr2CaWO6
1.0
5.8388 0.0000 0.0000
0.0000 5.9459 0.0000
-5.8021 0.0000 8.2908
Sr Ca W O
4 2 2 12
direct
0.2413 0.0416 0.2509
0.2413 0.4584 0.7509
0.7587 0.5416 0.2491
0.7587 0.9584 0.7491
0.5000 0.0000 0.0000
0.5000 0.5000 0.5000
0.0000 0.0000 0.5000
0.0000 0.5000 0.0000
0.1351 0.2309 0.9513
0.1351 0.2691 0.4513
0.2278 0.6882 0.9585
0.2278 0.8118 0.4585
0.3118 0.0282 0.7271
0.3118 0.4718 0.2271
0.6882 0.5282 0.7729
0.6882 0.9718 0.2729
0.7722 0.1882 0.5415
0.7722 0.3118 0.0415
0.8649 0.7309 0.5487
0.8649 0.7691 0.0487
```

Most intense lines, 2θ from 10° to 90°, low angle first:
2θ = 18.36°, 4.832 Å, intensity 30; 2θ = 18.58°, 4.775 Å, intensity 28; 2θ = 30.06°, 2.973 Å, intensity 24; 2θ = 30.42°, 2.939 Å, intensity 100; 2θ = 30.62°, 2.919 Å, intensity 24; 2θ = 43.44°, 2.083 Å, intensity 26; 2θ = 43.67°, 2.073 Å, intensity 14; 2θ = 53.61°, 1.710 Å, intensity 17; 2θ = 54.19°, 1.692 Å, intensity 17; 2θ = 54.40°, 1.687 Å, intensity 17

---

No. 3
Na2MgFe4O8: calculated powder diffractogram (Cu Kα), based on a crystal structure in the Materials Project, relaxed with GGA+U.

Crystal structure
```
Na2MgFe4O8
1.0
5.2316 -3.0229 0.0000
5.2316 3.0229 0.0000
-3.5062 0.0000 5.4083
Na Mg Fe O
2 1 4 8
direct
0.1561 0.1561 0.4663
0.8439 0.8439 0.5337
0.0000 0.0000 0.0000
0.0000 0.5000 0.0000
0.5000 0.0000 0.0000
0.5000 0.5000 0.0000
0.5000 0.5000 0.5000
0.2528 0.2528 0.2290
0.2528 0.7240 0.2288
0.2760 0.7472 0.7712
0.2789 0.2789 0.8380
0.7211 0.7211 0.1620
0.7240 0.2528 0.2288
0.7472 0.2760 0.7712
0.7472 0.7472 0.7710
```

Most intense lines, 2θ from 10° to 90°, low angle first:
2θ = 16.39°, 5.408 Å, intensity 79; 2θ = 17.81°, 4.981 Å, intensity 71; 2θ = 33.13°, 2.704 Å, intensity 30; 2θ = 33.99°, 2.638 Å, intensity 71; 2θ = 34.72°, 2.583 Å, intensity 54; 2θ = 36.06°, 2.490 Å, intensity 25; 2θ = 41.01°, 2.201 Å, intensity 100; 2θ = 41.13°, 2.195 Å, intensity 50; 2θ = 57.54°, 1.602 Å, intensity 35; 2θ = 61.36°, 1.511 Å, intensity 61

---

No. 4
EuVO4: calculated powder diffractogram (Cu Kα), based on a crystal structure in the Materials Project, relaxed with GGA+U.

Crystal structure
```
EuVO4
1.0
-3.6977 3.6977 3.2441
3.6977 -3.6977 3.2441
3.6977 3.6977 -3.2441
Eu V O
2 2 8
direct
0.3750 0.6250 0.7500
0.6250 0.3750 0.2500
0.1250 0.8750 0.2500
0.8750 0.1250 0.7500
0.1360 0.7043 0.4317
0.2274 0.2957 0.9317
0.2957 0.2274 0.4317
0.2957 0.8640 0.0683
0.7043 0.1360 0.9317
0.7043 0.7726 0.5683
0.7726 0.7043 0.0683
0.8640 0.2957 0.5683
```

Most intense lines, 2θ from 10° to 90°, low angle first:
2θ = 18.19°, 4.877 Å, intensity 35; 2θ = 24.07°, 3.698 Å, intensity 100; 2θ = 32.48°, 2.757 Å, intensity 70; 2θ = 34.30°, 2.615 Å, intensity 22; 2θ = 39.09°, 2.304 Å, intensity 15; 2θ = 47.95°, 1.897 Å, intensity 59; 2θ = 49.29°, 1.849 Å, intensity 16; 2θ = 55.57°, 1.654 Å, intensity 14; 2θ = 60.27°, 1.536 Å, intensity 17; 2θ = 71.22°, 1.324 Å, intensity 14

---

No. 5
Li4Mn2Cr3Fe3O16: calculated powder diffractogram (Cu Kα), based on a crystal structure in the Materials Project, relaxed with GGA+U.

Crystal structure
```
Li4Mn2Cr3Fe3O16
1.0
5.1132 -2.9423 0.0000
5.1132 2.9423 0.0000
-0.1419 0.0000 9.4435
Li Mn Cr Fe O
4 2 3 3 16
direct
0.0000 0.0000 0.0000
0.0027 0.0027 0.5006
0.3331 0.3331 0.5978
0.6674 0.6674 0.0973
0.3340 0.3340 0.0115
0.6673 0.6673 0.5111
0.1718 0.6579 0.2822
0.6579 0.1718 0.2822
0.8289 0.8289 0.7825
0.1693 0.1693 0.2816
0.3393 0.8290 0.7829
0.8290 0.3393 0.7829
0.0440 0.4795 0.1495
0.1697 0.1697 0.8970
0.1702 0.6631 0.8985
0.3363 0.3363 0.3911
0.3372 0.8337 0.3974
0.4795 0.0440 0.1495
0.4796 0.4796 0.1547
0.5228 0.5228 0.6466
0.5249 0.9579 0.6483
0.6631 0.1702 0.8985
0.6685 0.6685 0.8908
0.8337 0.3372 0.3974
0.8355 0.8355 0.3938
0.9579 0.5249 0.6483
0.9977 0.9977 0.1875
0.9981 0.9981 0.6883
```

Most intense lines, 2θ from 10° to 90°, low angle first:
2θ = 18.79°, 4.722 Å, intensity 100; 2θ = 19.72°, 4.502 Å, intensity 64; 2θ = 19.85°, 4.472 Å, intensity 98; 2θ = 35.68°, 2.516 Å, intensity 32; 2θ = 36.12°, 2.487 Å, intensity 32; 2θ = 36.56°, 2.458 Å, intensity 46; 2θ = 40.34°, 2.236 Å, intensity 36; 2θ = 45.61°, 1.989 Å, intensity 38; 2θ = 45.97°, 1.974 Å, intensity 38; 2θ = 63.04°, 1.475 Å, intensity 49

---

No. 6
CaEuNi4O12: calculated powder diffractogram (Cu Kα), based on a crystal structure in the Materials Project, relaxed with GGA+U.

Crystal structure
```
CaEuNi4O12
1.0
5.1697 0.0000 0.0000
0.0000 5.1697 0.0000
0.0000 0.0000 7.1609
Ca Eu Ni O
1 1 4 12
direct
0.0000 0.0000 0.0000
0.5000 0.5000 0.5000
0.0000 0.5000 0.2499
0.0000 0.5000 0.7501
0.5000 0.0000 0.2499
0.5000 0.0000 0.7501
0.0000 0.5000 0.0000
0.0000 0.5000 0.5000
0.2506 0.2506 0.2499
0.2506 0.2506 0.7501
0.2506 0.7494 0.2499
0.2506 0.7494 0.7501
0.5000 0.0000 0.0000
0.5000 0.0000 0.5000
0.7494 0.2506 0.2499
0.7494 0.2506 0.7501
0.7494 0.7494 0.2499
0.7494 0.7494 0.7501
```

Most intense lines, 2θ from 10° to 90°, low angle first:
2θ = 12.36°, 7.161 Å, intensity 22; 2θ = 17.15°, 5.170 Å, intensity 22; 2θ = 21.20°, 4.192 Å, intensity 90; 2θ = 34.70°, 2.585 Å, intensity 51; 2θ = 35.08°, 2.558 Å, intensity 100; 2θ = 41.02°, 2.200 Å, intensity 32; 2θ = 49.89°, 1.828 Å, intensity 47; 2θ = 51.01°, 1.790 Å, intensity 22; 2θ = 62.45°, 1.487 Å, intensity 37; 2θ = 74.14°, 1.279 Å, intensity 25

---

No. 7
Mg14VBiO16: calculated powder diffractogram (Cu Kα), based on a crystal structure in the Materials Project, relaxed with GGA+U.

Crystal structure
```
Mg14VBiO16
1.0
4.4085 0.0000 0.0000
0.0000 8.6865 0.0000
0.0000 0.0000 8.8544
Mg V Bi O
14 1 1 16
direct
0.0000 0.0000 0.0000
0.0000 0.0000 0.5000
0.0000 0.2431 0.2421
0.0000 0.2431 0.7579
0.0000 0.7569 0.2421
0.0000 0.7569 0.7579
0.5000 0.0000 0.2471
0.5000 0.0000 0.7529
0.5000 0.2360 0.5000
0.5000 0.2472 0.0000
0.5000 0.5000 0.2365
0.5000 0.5000 0.7635
0.5000 0.7528 0.0000
0.5000 0.7640 0.5000
0.0000 0.5000 0.0000
0.0000 0.5000 0.5000
0.0000 0.0000 0.2466
0.0000 0.0000 0.7534
0.0000 0.2295 0.5000
0.0000 0.2426 0.0000
0.0000 0.5000 0.2339
0.0000 0.5000 0.7661
0.0000 0.7574 0.0000
0.0000 0.7705 0.5000
0.5000 0.0000 0.0000
0.5000 0.0000 0.5000
0.5000 0.2508 0.2511
0.5000 0.2508 0.7489
0.5000 0.5000 0.0000
0.5000 0.5000 0.5000
0.5000 0.7492 0.2511
0.5000 0.7492 0.7489
```

Most intense lines, 2θ from 10° to 90°, low angle first:
2θ = 10.18°, 8.687 Å, intensity 99; 2θ = 14.28°, 6.201 Å, intensity 53; 2θ = 20.10°, 4.418 Å, intensity 55; 2θ = 22.57°, 3.940 Å, intensity 100; 2θ = 28.83°, 3.097 Å, intensity 47; 2θ = 35.39°, 2.536 Å, intensity 79; 2θ = 40.76°, 2.214 Å, intensity 80; 2θ = 40.94°, 2.204 Å, intensity 81; 2θ = 41.59°, 2.172 Å, intensity 75; 2θ = 59.15°, 1.562 Å, intensity 48